Structure and theoretical PXRD pattern of Nd2SnBi6 (a PBE-relaxed structure; Cu Kα (λ = 1.5418 Å)).
Lines closer than 0.1° are merged.

The 8 most intense peaks (15° ≤ 2θ ≤ 90°), low angle first:
2θ/deg  I_rel
29.84  100
32.22  39
32.39  83
36.09  29
39.70  25
52.01  21
54.38  15
54.72  18

Structural model:
```
data_Nd2SnBi6
_chemical_formula_sum 'Nd2 Sn1 Bi6'
_space_group_name_H-M_alt 'P 1'
_space_group_IT_number 1
_cell_length_a 8.7124
_cell_length_b 8.7124
_cell_length_c 8.3830
_cell_angle_alpha 116.03
_cell_angle_beta 116.03
_cell_angle_gamma 30.21
loop_
_space_group_symop_operation_xyz
'x,y,z'
loop_
_atom_site_label
_atom_site_type_symbol
_atom_site_fract_x
_atom_site_fract_y
_atom_site_fract_z
_atom_site_occupancy
Nd1 Nd 0.0554 0.0554 0.3151 1
Nd2 Nd 0.9446 0.9446 0.6849 1
Sn1 Sn 0.5000 0.5000 0.0000 1
Bi1 Bi 0.1630 0.1630 0.0308 1
Bi2 Bi 0.2841 0.2841 0.6706 1
Bi3 Bi 0.4053 0.4053 0.3448 1
Bi4 Bi 0.5947 0.5947 0.6552 1
Bi5 Bi 0.7159 0.7159 0.3294 1
Bi6 Bi 0.8370 0.8370 0.9692 1
```